The following is a computed XRD peak list of CuIrPdO6. It was derived from DFT lattice parameters and positions (GGA-PBE), using Cu Kα (weighted mean of Kα1 and Kα2).

Peak list (8 most intense, 2θ from 5° to 70°, by intensity)
28.7 deg, d = 3.107 Å, I = 100
34.9 deg, d = 2.570 Å, I = 63
55.4 deg, d = 1.658 Å, I = 55
40.8 deg, d = 2.211 Å, I = 48
20.5 deg, d = 4.339 Å, I = 42
45.8 deg, d = 1.981 Å, I = 28
58.9 deg, d = 1.569 Å, I = 26
62.6 deg, d = 1.484 Å, I = 22

Structural model:
```
data_CuIrPdO6
_symmetry_space_group_name_H-M 'P -3 1 c'
_symmetry_Int_Tables_number 163
_symmetry_space_group_name_Hall '-P 3 2c'
_cell_length_a 5.1406
_cell_length_b 5.1406
_cell_length_c 8.6788
_cell_angle_alpha 90.00
_cell_angle_beta 90.00
_cell_angle_gamma 120.00
loop_
_atom_site_label
_atom_site_fract_x
_atom_site_fract_y
_atom_site_fract_z
Cu1 0.0000 0.0000 0.0000
Ir1 0.3333 0.6667 0.2500
Pd1 0.3333 0.6667 0.7500
O1 0.0109 0.3581 0.1252
```